Simulated X-ray powder pattern
Compound: PmHoRh2
Radiation: λ = 1.5418 Å (Cu Kα)
Structure: a crystal structure in the Materials Project, relaxed with GGA-PBE
Intensities are scaled so that the largest is 100.

Crystal structure
Unit cell a=6.9446 b=6.9446 c=6.9446 alpha=90.00 beta=90.00 gamma=90.00
Space group Fm-3m (No. 225)
Unique sites:
1 Pm 0.0000 0.0000 0.0000 (multiplicity 4)
2 Ho 0.0000 0.0000 0.5000 (multiplicity 4)
3 Rh 0.2500 0.2500 0.2500 (multiplicity 8)

Top 8 peaks for 10 to 90 degrees two-theta, sorted by position:
h k l  2theta  I_rel
2 0 0  25.7  4
2 2 0  36.6  100
2 2 2  45.2  1
4 0 0  52.7  17
4 2 0  59.5  2
4 2 2  65.9  35
4 4 0  77.8  11
6 2 0  89.2  16